(1)
# Pr6HPb2
Simulated X-ray powder pattern, Cu Kα X-rays. Input: a GGA-PBE-relaxed structure.
Lines closer than 0.1° are merged.

Lattice parameters (Å, degrees): 6.657 8.099 12.225 90.00 122.68 90.00
Space group P2_1/c (No. 14)
One atom of each set of equivalent atoms:
Pr: 0.070 0.197 0.458 (multiplicity 4)
Pr: 0.345 0.706 0.458 (multiplicity 4)
Pr: 0.383 0.027 0.253 (multiplicity 4)
H: 0.500 0.000 0.500 (multiplicity 2)
Pb: 0.152 0.108 0.753 (multiplicity 4)

Top 10 peaks for 10° ≤ 2θ ≤ 90°, by angle:
h k l, 2theta, I_rel
0 2 2, 28.04, 89
2 1 -1, 30.30, 100
1 2 -3, 31.16, 56
1 1 2, 31.28, 34
1 1 -4, 31.41, 32
2 1 0, 33.86, 41
2 1 -4, 34.01, 41
0 0 4, 34.88, 42
1 3 -1, 35.90, 37
1 3 0, 36.98, 32



(2)
# PrH8Rh2Pb
Simulated X-ray powder pattern, Cu Kα X-rays. Input: a GGA-PBE-relaxed structure.
Lines closer than 0.1° are merged.

Lattice parameters (Å, degrees): 4.2539 4.2539 25.8109 90.00 90.00 120.00
Space group R-3m (No. 166, hexagonal axes)
One atom of each set of equivalent atoms:
Pr: 0.0000 0.0000 0.0000 (multiplicity 3)
H: 0.0000 0.0000 0.1844 (multiplicity 6)
H: 0.0341 0.5170 0.0482 (multiplicity 18)
Rh: 0.0000 0.0000 0.2504 (multiplicity 6)
Pb: 0.0000 0.0000 0.5000 (multiplicity 3)

Top 10 peaks for 10° ≤ 2θ ≤ 90°, by angle:
h k l, 2theta, I_rel
1 0 4, 27.89, 100
0 1 8, 37.04, 48
0 0 12, 42.01, 11
1 1 0, 42.50, 33
0 2 4, 51.60, 19
2 0 8, 57.62, 13
1 1 12, 61.29, 22
1 0 16, 62.89, 10
2 1 4, 69.00, 15
1 2 8, 74.17, 13



(3)
# Pr2Tm4H2Pb3
Simulated X-ray powder pattern, Cu Kα X-rays. Input: a GGA-PBE-relaxed structure.
Lines closer than 0.1° are merged.

Lattice parameters (Å, degrees): 4.742 4.742 25.119 90.00 90.00 90.00
Space group I4/mmm (No. 139)
One atom of each set of equivalent atoms:
Pr: 0.000 0.000 0.197 (multiplicity 4)
Tm: 0.000 0.500 0.082 (multiplicity 8)
H: 0.000 0.000 0.096 (multiplicity 4)
Pb: 0.000 0.000 0.329 (multiplicity 4)
Pb: 0.000 0.000 0.500 (multiplicity 2)

Top 10 peaks for 10° ≤ 2θ ≤ 90°, by angle:
h k l, 2theta, I_rel
1 0 1, 19.05, 19
1 1 2, 27.53, 32
0 0 8, 28.43, 11
1 1 4, 30.22, 13
1 0 7, 31.26, 19
1 1 6, 34.26, 100
2 0 0, 37.95, 48
2 2 0, 54.75, 17
2 0 12, 58.85, 13
3 1 6, 66.21, 34



(4)
# H6Pt4Pb
Simulated X-ray powder pattern, Cu Kα X-rays. Input: a GGA-PBE-relaxed structure.
Lines closer than 0.1° are merged.

Lattice parameters (Å, degrees): 9.421 7.260 3.786 90.00 112.25 90.00
Space group Cm (No. 8)
One atom of each set of equivalent atoms:
H: 0.000 0.000 0.000 (multiplicity 2)
H: 0.010 0.256 0.274 (multiplicity 4)
H: 0.191 0.310 0.950 (multiplicity 4)
H: 0.249 0.500 0.465 (multiplicity 2)
Pt: 0.011 0.206 0.756 (multiplicity 4)
Pt: 0.037 0.500 0.303 (multiplicity 2)
Pt: 0.318 0.500 0.111 (multiplicity 2)
Pb: 0.278 0.000 0.571 (multiplicity 2)

Top 10 peaks for 10° ≤ 2θ ≤ 90°, by angle:
h k l, 2theta, I_rel
2 2 0, 32.08, 65
1 1 1, 33.33, 100
3 1 -1, 34.07, 100
0 2 1, 35.61, 59
2 2 -1, 35.97, 61
1 3 0, 38.60, 35
4 0 0, 41.42, 46
1 3 -1, 44.44, 24
2 0 -2, 48.08, 37
3 3 0, 49.01, 40



(5)
# HPtPb2
Simulated X-ray powder pattern, Cu Kα X-rays. Input: a GGA-PBE-relaxed structure.
Lines closer than 0.1° are merged.

Lattice parameters (Å, degrees): 3.499 8.155 6.274 90.00 90.00 90.00
Space group Pmmn (No. 59, origin choice 2)
One atom of each set of equivalent atoms:
H: 0.250 0.250 0.011 (multiplicity 2)
Pt: 0.250 0.750 0.928 (multiplicity 2)
Pb: 0.250 0.505 0.258 (multiplicity 4)

Top 10 peaks for 10° ≤ 2θ ≤ 90°, by angle:
h k l, 2theta, I_rel
0 0 1, 14.12, 24
0 2 1, 26.06, 19
1 0 1, 29.22, 39
1 1 1, 31.26, 18
0 2 2, 36.13, 60
1 2 1, 36.75, 100
0 4 0, 44.44, 22
1 0 3, 50.86, 29
2 2 2, 65.20, 24
1 4 3, 69.81, 23



(6)
# HPtPb
Simulated X-ray powder pattern, Cu Kα X-rays. Input: a GGA-PBE-relaxed structure.
Lines closer than 0.1° are merged.

Lattice parameters (Å, degrees): 5.460 3.558 6.439 90.00 114.99 90.00
Space group P2/m (No. 10)
One atom of each set of equivalent atoms:
H: 0.093 0.000 0.188 (multiplicity 2)
Pt: 0.253 0.000 0.001 (multiplicity 2)
Pb: 0.340 0.500 0.681 (multiplicity 2)

Top 10 peaks for 10° ≤ 2θ ≤ 90°, by angle:
h k l, 2theta, I_rel
0 0 1, 15.18, 36
1 0 -1, 17.94, 52
1 0 -2, 28.16, 57
0 1 1, 29.40, 100
2 0 0, 36.33, 57
1 1 1, 38.02, 56
0 1 2, 39.96, 60
2 1 -1, 41.70, 80
2 0 -3, 45.50, 42
2 1 2, 64.37, 44



(7)
# RbHPb
Simulated X-ray powder pattern, Cu Kα X-rays. Input: a GGA-PBE-relaxed structure.
Lines closer than 0.1° are merged.

Lattice parameters (Å, degrees): 3.751 3.778 13.089 89.86 89.58 88.31
Space group P-1 (No. 2)
One atom of each set of equivalent atoms:
Rb: 0.013 0.498 0.179 (multiplicity 2)
H: 0.107 0.998 0.999 (multiplicity 2)
Pb: 0.491 0.005 0.615 (multiplicity 2)

Top 10 peaks for 10° ≤ 2θ ≤ 90°, by angle:
h k l, 2theta, I_rel
0 1 -1, 24.54, 98
1 0 1, 24.70, 100
0 0 4, 27.27, 73
0 1 3, 31.33, 86
1 0 -3, 31.57, 32
1 1 0, 33.17, 54
1 -1 0, 34.22, 88
1 0 4, 36.32, 50
0 2 0, 48.17, 30
2 0 0, 48.58, 32



(8)
# Rb3H6Pb2
Simulated X-ray powder pattern, Cu Kα X-rays. Input: a GGA-PBE-relaxed structure.
Lines closer than 0.1° are merged.

Lattice parameters (Å, degrees): 5.017 9.947 11.866 90.00 90.00 90.00
Space group Pnnm (No. 58)
One atom of each set of equivalent atoms:
Rb: 0.000 0.000 0.000 (multiplicity 2)
Rb: 0.000 0.500 0.185 (multiplicity 4)
H: 0.012 0.349 0.390 (multiplicity 8)
H: 0.129 0.295 0.000 (multiplicity 4)
Pb: 0.016 0.203 0.500 (multiplicity 4)

Top 10 peaks for 10° ≤ 2θ ≤ 90°, by angle:
h k l, 2theta, I_rel
0 0 2, 14.93, 54
1 0 1, 19.21, 27
0 2 2, 23.34, 39
1 1 2, 24.91, 50
1 2 1, 26.33, 100
1 0 3, 28.74, 37
0 3 3, 35.31, 38
1 2 5, 46.06, 40
2 3 3, 51.16, 26
1 5 2, 51.78, 30



Please write out number 6 again, unchanged.
# HPtPb
Simulated X-ray powder pattern, Cu Kα X-rays. Input: a GGA-PBE-relaxed structure.
Lines closer than 0.1° are merged.

Lattice parameters (Å, degrees): 5.460 3.558 6.439 90.00 114.99 90.00
Space group P2/m (No. 10)
One atom of each set of equivalent atoms:
H: 0.093 0.000 0.188 (multiplicity 2)
Pt: 0.253 0.000 0.001 (multiplicity 2)
Pb: 0.340 0.500 0.681 (multiplicity 2)

Top 10 peaks for 10° ≤ 2θ ≤ 90°, by angle:
h k l, 2theta, I_rel
0 0 1, 15.18, 36
1 0 -1, 17.94, 52
1 0 -2, 28.16, 57
0 1 1, 29.40, 100
2 0 0, 36.33, 57
1 1 1, 38.02, 56
0 1 2, 39.96, 60
2 1 -1, 41.70, 80
2 0 -3, 45.50, 42
2 1 2, 64.37, 44



What did the eighth record say?
# Rb3H6Pb2
Simulated X-ray powder pattern, Cu Kα X-rays. Input: a GGA-PBE-relaxed structure.
Lines closer than 0.1° are merged.

Lattice parameters (Å, degrees): 5.017 9.947 11.866 90.00 90.00 90.00
Space group Pnnm (No. 58)
One atom of each set of equivalent atoms:
Rb: 0.000 0.000 0.000 (multiplicity 2)
Rb: 0.000 0.500 0.185 (multiplicity 4)
H: 0.012 0.349 0.390 (multiplicity 8)
H: 0.129 0.295 0.000 (multiplicity 4)
Pb: 0.016 0.203 0.500 (multiplicity 4)

Top 10 peaks for 10° ≤ 2θ ≤ 90°, by angle:
h k l, 2theta, I_rel
0 0 2, 14.93, 54
1 0 1, 19.21, 27
0 2 2, 23.34, 39
1 1 2, 24.91, 50
1 2 1, 26.33, 100
1 0 3, 28.74, 37
0 3 3, 35.31, 38
1 2 5, 46.06, 40
2 3 3, 51.16, 26
1 5 2, 51.78, 30